Structure and computed X-ray diffraction stick pattern of Mg7Si4 (a structure optimized by DFT (GGA-PBE); a wavelength of 1.5418 Å).

Crystal structure
```
data_Mg7Si4
_chemical_formula_sum 'Mg14 Si8'
_cell_length_a 5.3689
_cell_length_b 5.9518
_cell_length_c 13.9504
_cell_angle_alpha 101.82
_cell_angle_beta 92.98
_cell_angle_gamma 91.44
_space_group_name_H-M_alt 'P 1'
_space_group_IT_number 1
_space_group_name_Hall 'P 1'
loop_
_atom_site_label
_atom_site_type_symbol
_atom_site_fract_x
_atom_site_fract_y
_atom_site_fract_z
Mg1 Mg 0.0000 0.0000 0.0000
Mg2 Mg 0.0005 0.8811 0.3993
Mg3 Mg 0.0125 0.4974 0.0049
Mg4 Mg 0.0360 0.2479 0.6241
Mg5 Mg 0.3815 0.5189 0.5028
Mg6 Mg 0.4654 0.6544 0.3042
Mg7 Mg 0.4997 0.7441 0.9795
Mg8 Mg 0.5218 0.2632 0.0185
Mg9 Mg 0.5263 0.0284 0.5230
Mg10 Mg 0.7188 0.0384 0.1936
Mg11 Mg 0.7836 0.1464 0.8094
Mg12 Mg 0.8769 0.3677 0.3947
Mg13 Mg 0.8806 0.6477 0.8120
Mg14 Mg 0.9312 0.7391 0.6013
Si1 Si 0.2176 0.8343 0.1583
Si2 Si 0.2246 0.2618 0.1807
Si3 Si 0.2756 0.9713 0.8367
Si4 Si 0.2842 0.3724 0.8294
Si5 Si 0.3801 0.1713 0.3401
Si6 Si 0.4648 0.8052 0.6842
Si7 Si 0.5282 0.3968 0.6835
Si8 Si 0.9013 0.5582 0.2063
```

Principal peaks in the range 10° ≤ 2θ ≤ 90°, in order of rising 2θ:
| Position (°2θ) | I/Imax |
| --- | --- |
| 32.89 | 58 |
| 34.99 | 41 |
| 36.20 | 59 |
| 37.62 | 100 |
| 37.95 | 95 |
| 40.05 | 47 |